The following is a calculated X-ray diffraction stick pattern of Ac6AlCo2. It was derived from a structure optimized by DFT (PBE), using a wavelength of 1.5418 Å.
Lines closer than 0.1° are merged.

Cell and atoms:
Lattice parameters (Å, degrees): 10.062 10.668 10.923 90.00 90.00 90.00
Space group Immm (No. 71)
Asymmetric unit:
Ac 0.000 0.191 0.239
Ac 0.182 0.500 0.174
Ac 0.217 0.323 0.500
Al 0.000 0.000 0.000
Al 0.000 0.000 0.500
Co 0.000 0.263 0.000
Co 0.000 0.500 0.390

Top 10 peaks for 5° ≤ 2θ ≤ 70°, by intensity:
| 2θ (°) | Rel. int. | (hkl) |
| --- | --- | --- |
| 29.4 | 100 | 2 2 2 |
| 31.3 | 65 | 1 3 2 |
| 24.0 | 52 | 2 0 2 |
| 31.9 | 51 | 2 3 1 |
| 27.9 | 50 | 3 1 0 |
| 31.5 | 47 | 2 1 3 |
| 26.4 | 46 | 0 3 1 |
| 25.9 | 43 | 0 1 3 |
| 55.1 | 39 | 5 3 2 |
| 37.0 | 36 | 0 2 4 |

The following is a calculated X-ray diffraction stick pattern of AcPmZnIn. It was derived from a structure optimized by DFT (PBE), using a wavelength of 1.5418 Å.
Lines closer than 0.1° are merged.

Cell and atoms:
Lattice parameters (Å, degrees): 3.854 3.854 7.888 90.00 90.00 90.00
Space group P4mm (No. 99)
Asymmetric unit:
Ac 0.000 0.000 0.000
Pm 0.000 0.000 0.536
Zn 0.500 0.500 0.737
In 0.500 0.500 0.292

Top 10 peaks for 5° ≤ 2θ ≤ 70°, by intensity:
| 2θ (°) | Rel. int. | (hkl) |
| --- | --- | --- |
| 32.5 | 100 | 1 0 2 |
| 32.9 | 52 | 1 1 0 |
| 58.4 | 38 | 2 1 2 |
| 47.2 | 19 | 2 0 0 |
| 57.7 | 15 | 1 1 4 |
| 23.1 | 13 | 1 0 0 |
| 25.7 | 11 | 1 0 1 |
| 68.0 | 9 | 2 0 4 |
| 46.0 | 8 | 0 0 4 |
| 22.5 | 7 | 0 0 2 |

The following is a calculated X-ray diffraction stick pattern of Zr4Os. It was derived from a structure optimized by DFT (PBE), using a wavelength of 1.5418 Å.
Lines closer than 0.1° are merged.

Cell and atoms:
Lattice parameters (Å, degrees): 11.025 13.075 6.018 90.00 90.00 90.00
Space group Fdd2 (No. 43)
Asymmetric unit:
Zr 0.078 0.390 0.000
Zr 0.079 0.309 0.480
Os 0.000 0.000 0.899

Top 10 peaks for 5° ≤ 2θ ≤ 70°, by intensity:
| 2θ (°) | Rel. int. | (hkl) |
| --- | --- | --- |
| 35.3 | 100 | 4 2 0 |
| 38.4 | 80 | 1 5 1 |
| 33.9 | 53 | 2 0 2 |
| 36.7 | 52 | 2 2 2 |
| 18.1 | 38 | 1 1 1 |
| 29.3 | 30 | 3 1 1 |
| 21.1 | 27 | 2 2 0 |
| 46.8 | 19 | 4 2 2 |
| 44.1 | 16 | 2 4 2 |
| 42.9 | 16 | 4 4 0 |

The following is a calculated X-ray diffraction stick pattern of BaAlBi3. It was derived from a structure optimized by DFT (PBE), using a wavelength of 1.5418 Å.
Lines closer than 0.1° are merged.

Cell and atoms:
Lattice parameters (Å, degrees): 7.067 6.815 7.202 90.00 90.04 90.00
Space group P2_1 (No. 4)
Asymmetric unit:
Ba 0.250 0.000 0.205
Al 0.250 0.324 0.607
Bi 0.004 0.982 0.691
Bi 0.250 0.604 0.894
Bi 0.496 0.982 0.691

Top 10 peaks for 5° ≤ 2θ ≤ 70°, by intensity:
| 2θ (°) | Rel. int. | (hkl) |
| --- | --- | --- |
| 31.1 | 100 | 2 1 -1 |
| 28.0 | 53 | 0 1 2 |
| 26.2 | 34 | 0 2 0 |
| 17.9 | 15 | 0 1 1 |
| 24.7 | 15 | 0 0 2 |
| 41.7 | 15 | 0 3 1 |
| 36.3 | 15 | 0 2 2 |
| 53.4 | 14 | 2 2 3 |
| 45.7 | 13 | 2 0 -3 |
| 49.3 | 13 | 2 3 1 |

The following is a calculated X-ray diffraction stick pattern of YThTc. It was derived from a structure optimized by DFT (PBE), using a wavelength of 1.5418 Å.
Lines closer than 0.1° are merged.

Cell and atoms:
Lattice parameters (Å, degrees): 11.927 12.585 8.889 90.00 90.00 90.00
Space group Fdd2 (No. 43)
Asymmetric unit:
Y 0.121 0.172 0.000
Th 0.064 0.135 0.409
Tc 0.057 0.223 0.702

Top 10 peaks for 5° ≤ 2θ ≤ 70°, by intensity:
| 2θ (°) | Rel. int. | (hkl) |
| --- | --- | --- |
| 28.8 | 100 | 2 2 2 |
| 14.3 | 90 | 1 1 1 |
| 32.6 | 79 | 3 3 1 |
| 33.3 | 72 | 4 2 0 |
| 31.9 | 66 | 1 1 3 |
| 38.2 | 61 | 2 4 2 |
| 52.5 | 44 | 1 7 1 |
| 37.9 | 42 | 1 3 3 |
| 53.4 | 35 | 4 2 4 |
| 38.6 | 33 | 3 1 3 |

The following is a calculated X-ray diffraction stick pattern of CeThB. It was derived from a structure optimized by DFT (PBE), using a wavelength of 1.5418 Å.
Lines closer than 0.1° are merged.

Cell and atoms:
Lattice parameters (Å, degrees): 11.877 3.789 7.991 90.00 131.25 90.00
Space group C2/m (No. 12)
Asymmetric unit:
Ce 0.191 0.000 0.092
Th 0.077 0.500 0.368
B 0.088 0.000 0.634

Top 10 peaks for 5° ≤ 2θ ≤ 70°, by intensity:
| 2θ (°) | Rel. int. | (hkl) |
| --- | --- | --- |
| 33.1 | 100 | 3 1 -1 |
| 31.9 | 83 | 2 0 1 |
| 34.0 | 77 | 1 1 -2 |
| 30.3 | 75 | 4 0 -2 |
| 26.0 | 58 | 1 1 -1 |
| 35.0 | 53 | 2 0 -3 |
| 25.5 | 43 | 1 1 0 |
| 58.8 | 41 | 2 2 1 |
| 32.8 | 39 | 1 1 1 |
| 22.3 | 31 | 2 0 -2 |

The following is a calculated X-ray diffraction stick pattern of Th6Fe2Au3. It was derived from a structure optimized by DFT (PBE), using a wavelength of 1.5418 Å.
Lines closer than 0.1° are merged.

Cell and atoms:
Lattice parameters (Å, degrees): 11.941 3.885 12.062 90.00 100.90 90.00
Space group C2/m (No. 12)
Asymmetric unit:
Th 0.091 0.000 0.292
Th 0.141 0.500 0.863
Th 0.154 0.000 0.588
Fe 0.078 0.500 0.435
Au 0.000 0.000 0.000
Au 0.160 0.500 0.121

Top 10 peaks for 5° ≤ 2θ ≤ 70°, by intensity:
| 2θ (°) | Rel. int. | (hkl) |
| --- | --- | --- |
| 32.4 | 100 | 3 1 -1 |
| 34.2 | 84 | 1 1 3 |
| 31.2 | 42 | 2 0 -4 |
| 46.8 | 35 | 0 2 0 |
| 37.8 | 35 | 1 1 -4 |
| 30.5 | 30 | 4 0 0 |
| 29.6 | 28 | 2 0 3 |
| 37.2 | 24 | 3 1 -3 |
| 34.4 | 21 | 3 1 1 |
| 57.3 | 16 | 2 2 -4 |

The following is a calculated X-ray diffraction stick pattern of TmTh6Sc2. It was derived from a structure optimized by DFT (PBE), using a wavelength of 1.5418 Å.
Lines closer than 0.1° are merged.

Cell and atoms:
Lattice parameters (Å, degrees): 9.268 11.094 10.794 90.00 90.00 90.00
Space group Ibam (No. 72)
Asymmetric unit:
Tm 0.000 0.000 0.250
Th 0.143 0.347 0.166
Th 0.204 0.408 0.500
Sc 0.056 0.149 0.500

Top 10 peaks for 5° ≤ 2θ ≤ 70°, by intensity:
| 2θ (°) | Rel. int. | (hkl) |
| --- | --- | --- |
| 31.2 | 100 | 1 2 3 |
| 32.5 | 68 | 2 1 3 |
| 30.0 | 62 | 3 1 0 |
| 25.9 | 31 | 1 3 0 |
| 52.3 | 27 | 0 6 2 |
| 30.9 | 24 | 1 3 2 |
| 34.8 | 22 | 1 4 1 |
| 34.2 | 20 | 3 2 1 |
| 32.3 | 18 | 0 4 0 |
| 12.4 | 16 | 1 1 0 |